# 1
Computed XRD peak list
Compound: Ac2ErCu9
Radiation: Cu Kα (λ = 1.5418 Å)
Structure: a DFT-relaxed cell (PBE, Alexandria)
Neutral-atom scattering factors, no anomalous dispersion.

Principal peaks in the range 2θ = 10–90°, low angle first:
2θ (°)  I/Imax  hkl
19.92  18  1 0 1
30.68  51  1 0 7
33.39  50  0 1 8
34.33  50  1 1 0
40.02  100  0 2 1
42.30  15  0 1 11
59.23  16  2 1 7
60.90  23  1 2 8
65.34  15  0 3 6
72.34  18  2 2 0

Structure:
```
data_Ac2ErCu9
_space_group_name_H-M_alt 'R -3 m'
_space_group_IT_number 166
_space_group_name_Hall '-R 3 2"'
_cell_length_a 5.2248
_cell_length_b 5.2248
_cell_length_c 26.6615
_cell_angle_alpha 90.00
_cell_angle_beta 90.00
_cell_angle_gamma 120.00
loop_
_atom_site_label
_atom_site_type_symbol
_atom_site_fract_x
_atom_site_fract_y
_atom_site_fract_z
_atom_site_occupancy
Ac1 Ac 0.0000 0.0000 0.1354 1
Er1 Er 0.0000 0.0000 0.0000 1
Cu1 Cu 0.0000 0.0000 0.3324 1
Cu2 Cu 0.0000 0.0000 0.5000 1
Cu3 Cu 0.0030 0.5015 0.0752 1
```

# 2
Computed XRD peak list
Compound: Br3O2
Radiation: Cu Kα (λ = 1.5418 Å)
Structure: a DFT-relaxed cell (PBE, Alexandria)
Neutral-atom scattering factors, no anomalous dispersion.

Principal peaks in the range 2θ = 10–90°, low angle first:
2θ (°)  I/Imax  hkl
20.87  100  1 1 -1
25.43  61  0 2 0
31.60  21  1 1 -2
32.58  18  2 0 1
33.45  21  2 0 -2
37.61  20  1 1 2
40.37  26  3 1 0
41.77  18  2 2 1
42.22  16  1 3 -1
42.48  21  2 2 -2

Structure:
```
data_Br3O2
_space_group_name_H-M_alt 'C 1 2/m 1'
_space_group_IT_number 12
_cell_length_a 7.3396
_cell_length_b 7.0055
_cell_length_c 6.2746
_cell_angle_alpha 90.00
_cell_angle_beta 105.51
_cell_angle_gamma 90.00
loop_
_space_group_symop_operation_xyz
'x,y,z'
'-x,-y,-z'
'-x,y,-z'
'x,-y,z'
'x+1/2,y+1/2,z'
'-x+1/2,-y+1/2,-z'
'-x+1/2,y+1/2,-z'
'x+1/2,-y+1/2,z'
loop_
_atom_site_label
_atom_site_type_symbol
_atom_site_fract_x
_atom_site_fract_y
_atom_site_fract_z
_atom_site_occupancy
Br1 Br 0.0000 0.0000 0.0000 1
Br2 Br 0.1776 0.5000 0.7330 1
O1 O 0.0804 0.0000 0.5610 1
```

# 3
Computed XRD peak list
Compound: Li3PaTi4O12
Radiation: Cu Kα (λ = 1.5418 Å)
Structure: a DFT-relaxed cell (PBE, Alexandria)
Neutral-atom scattering factors, no anomalous dispersion.

Principal peaks in the range 2θ = 10–90°, low angle first:
2θ (°)  I/Imax  hkl
16.79  100  1 1 0
29.30  39  2 1 1
33.96  47  2 2 0
38.11  30  3 1 0
45.45  39  3 2 1
48.79  16  4 0 0
51.96  15  4 1 1
60.77  25  4 2 2
63.54  17  4 3 1
79.06  12  5 3 2

Structure:
```
data_Li3PaTi4O12
_space_group_name_H-M_alt 'I m -3'
_space_group_IT_number 204
_space_group_name_Hall '-I 2 2 3'
_cell_length_a 7.4663
_cell_length_b 7.4663
_cell_length_c 7.4663
_cell_angle_alpha 90.00
_cell_angle_beta 90.00
_cell_angle_gamma 90.00
loop_
_atom_site_label
_atom_site_type_symbol
_atom_site_fract_x
_atom_site_fract_y
_atom_site_fract_z
_atom_site_occupancy
Li1 Li 0.0000 0.0000 0.5000 1
Pa1 Pa 0.0000 0.0000 0.0000 1
Ti1 Ti 0.2500 0.2500 0.2500 1
O1 O 0.0000 0.1789 0.2853 1
```

# 4
Computed XRD peak list
Compound: Na2SrTl2Pb
Radiation: Cu Kα (λ = 1.5418 Å)
Structure: a DFT-relaxed cell (PBE, Alexandria)
Neutral-atom scattering factors, no anomalous dispersion.

Principal peaks in the range 2θ = 10–90°, low angle first:
2θ (°)  I/Imax  hkl
14.03  42  0 1 1
20.54  54  1 1 0
21.17  43  0 2 1
21.44  48  0 0 2
29.86  100  1 1 2
33.27  66  1 3 0
35.05  59  1 3 1
37.25  47  2 0 0
37.43  49  0 2 3
38.68  42  1 1 3

Structure:
```
data_Na2SrTl2Pb
_space_group_name_H-M_alt 'P m c 21'
_space_group_IT_number 26
_cell_length_a 4.8271
_cell_length_b 9.7355
_cell_length_c 8.2875
_cell_angle_alpha 90.00
_cell_angle_beta 90.00
_cell_angle_gamma 90.00
loop_
_space_group_symop_operation_xyz
'x,y,z'
'-x,-y,z+1/2'
'-x,y,z'
'x,-y,z+1/2'
loop_
_atom_site_label
_atom_site_type_symbol
_atom_site_fract_x
_atom_site_fract_y
_atom_site_fract_z
_atom_site_occupancy
Na1 Na 0.0000 0.0741 0.0000 1
Na2 Na 0.5000 0.1828 0.3367 1
Sr1 Sr 0.5000 0.4316 0.9352 1
Tl1 Tl 0.0000 0.3647 0.2273 1
Tl2 Tl 0.5000 0.1178 0.7108 1
Pb1 Pb 0.0000 0.3166 0.6135 1
```

# 5
Computed XRD peak list
Compound: Ca5Os2N4
Radiation: Cu Kα (λ = 1.5418 Å)
Structure: a DFT-relaxed cell (PBE, Alexandria)
Neutral-atom scattering factors, no anomalous dispersion.

Principal peaks in the range 2θ = 10–90°, low angle first:
2θ (°)  I/Imax  hkl
14.47  64  0 0 2
15.09  26  1 1 0
21.41  13  2 0 0
25.07  82  2 1 1
32.61  100  2 1 3
34.16  41  3 1 0
37.27  19  3 1 2
44.35  35  0 0 6
60.53  14  0 0 8
64.63  18  5 2 3

Structure:
```
data_Ca5Os2N4
_space_group_name_H-M_alt 'P 4/n c c'
_space_group_IT_number 130
_cell_length_a 8.3014
_cell_length_b 8.3014
_cell_length_c 12.2408
_cell_angle_alpha 90.00
_cell_angle_beta 90.00
_cell_angle_gamma 90.00
loop_
_space_group_symop_operation_xyz
'x,y,z'
'-x,-y,-z'
'-y+1/2,x,z'
'y+1/2,-x,-z'
'-x+1/2,-y+1/2,z'
'x+1/2,y+1/2,-z'
'y,-x+1/2,z'
'-y,x+1/2,-z'
'x+1/2,-y,-z+1/2'
'-x+1/2,y,z+1/2'
'-y,-x,-z+1/2'
'y,x,z+1/2'
'-x,y+1/2,-z+1/2'
'x,-y+1/2,z+1/2'
'y+1/2,x+1/2,-z+1/2'
'-y+1/2,-x+1/2,z+1/2'
loop_
_atom_site_label
_atom_site_type_symbol
_atom_site_fract_x
_atom_site_fract_y
_atom_site_fract_z
_atom_site_occupancy
Ca1 Ca 0.0710 0.6329 0.0983 1
Ca2 Ca 0.2500 0.2500 0.1676 1
Os1 Os 0.0951 0.5951 0.7500 1
N1 N 0.0560 0.6413 0.8969 1
```

# 6
Computed XRD peak list
Compound: NbNi12Pt4
Radiation: Cu Kα (λ = 1.5418 Å)
Structure: a DFT-relaxed cell (PBE, Alexandria)
Neutral-atom scattering factors, no anomalous dispersion.

Principal peaks in the range 2θ = 10–90°, low angle first:
2θ (°)  I/Imax  hkl
23.52  24  2 0 0
33.50  66  2 2 0
41.34  100  2 2 2
48.11  61  4 0 0
54.22  20  4 2 0
59.90  18  4 2 2
70.40  32  4 4 0
75.38  12  4 4 2
80.26  18  6 2 0
85.06  27  6 2 2

Structure:
```
data_NbNi12Pt4
_space_group_name_H-M_alt 'I m -3 m'
_space_group_IT_number 229
_space_group_name_Hall '-I 4 2 3'
_cell_length_a 7.5652
_cell_length_b 7.5652
_cell_length_c 7.5652
_cell_angle_alpha 90.00
_cell_angle_beta 90.00
_cell_angle_gamma 90.00
loop_
_atom_site_label
_atom_site_type_symbol
_atom_site_fract_x
_atom_site_fract_y
_atom_site_fract_z
_atom_site_occupancy
Nb1 Nb 0.0000 0.0000 0.0000 1
Ni1 Ni 0.0000 0.0000 0.3099 1
Ni2 Ni 0.0000 0.2500 0.5000 1
Pt1 Pt 0.2500 0.2500 0.2500 1
```

# 7
Computed XRD peak list
Compound: YErCu4
Radiation: Cu Kα (λ = 1.5418 Å)
Structure: a DFT-relaxed cell (PBE, Alexandria)
Neutral-atom scattering factors, no anomalous dispersion.

Principal peaks in the range 2θ = 10–90°, low angle first:
2θ (°)  I/Imax  hkl
24.07  12  1 0 1
34.83  42  1 1 2
35.84  100  1 2 1
36.02  40  0 2 2
41.62  20  0 3 1
42.19  35  2 0 0
42.67  48  1 0 3
56.65  21  2 2 2
60.76  12  2 3 1
69.54  19  1 3 4

Structure:
```
data_YErCu4
_space_group_name_H-M_alt 'I m m 2'
_space_group_IT_number 44
_cell_length_a 4.2840
_cell_length_b 6.8161
_cell_length_c 7.3153
_cell_angle_alpha 90.00
_cell_angle_beta 90.00
_cell_angle_gamma 90.00
loop_
_space_group_symop_operation_xyz
'x,y,z'
'-x,-y,z'
'-x,y,z'
'x,-y,z'
'x+1/2,y+1/2,z+1/2'
'-x+1/2,-y+1/2,z+1/2'
'-x+1/2,y+1/2,z+1/2'
'x+1/2,-y+1/2,z+1/2'
loop_
_atom_site_label
_atom_site_type_symbol
_atom_site_fract_x
_atom_site_fract_y
_atom_site_fract_z
_atom_site_occupancy
Y1 Y 0.0000 0.0000 0.0000 1
Er1 Er 0.0000 0.5000 0.0893 1
Cu1 Cu 0.0000 0.1968 0.3812 1
Cu2 Cu 0.0000 0.3017 0.7105 1
```

# 8
Computed XRD peak list
Compound: Hg2BiF11
Radiation: Cu Kα (λ = 1.5418 Å)
Structure: a DFT-relaxed cell (PBE, Alexandria)
Neutral-atom scattering factors, no anomalous dispersion.

Principal peaks in the range 2θ = 10–90°, low angle first:
2θ (°)  I/Imax  hkl
13.48  43  1 1 0
16.79  15  0 0 2
21.57  68  1 1 2
23.73  87  0 2 2
27.20  100  2 0 2
33.96  15  0 0 4
37.48  16  3 2 1
43.83  24  2 4 2
44.01  55  2 2 4
50.04  17  4 2 2

Structure:
```
data_Hg2BiF11
_space_group_name_H-M_alt 'I b a m'
_space_group_IT_number 72
_space_group_name_Hall '-I 2 2c'
_cell_length_a 8.3428
_cell_length_b 10.6519
_cell_length_c 10.5599
_cell_angle_alpha 90.00
_cell_angle_beta 90.00
_cell_angle_gamma 90.00
loop_
_atom_site_label
_atom_site_type_symbol
_atom_site_fract_x
_atom_site_fract_y
_atom_site_fract_z
_atom_site_occupancy
Hg1 Hg 0.2225 0.2169 0.0000 1
Bi1 Bi 0.0000 0.5000 0.2500 1
F1 F 0.0000 0.0000 0.0000 1
F2 F 0.0561 0.1552 0.5000 1
F3 F 0.0838 0.3422 0.1404 1
F4 F 0.2043 0.4334 0.3587 1
```

# 9
Computed XRD peak list
Compound: RbTl10Sn3
Radiation: Cu Kα (λ = 1.5418 Å)
Structure: a DFT-relaxed cell (PBE, Alexandria)
Neutral-atom scattering factors, no anomalous dispersion.

Principal peaks in the range 2θ = 10–90°, low angle first:
2θ (°)  I/Imax  hkl
15.79  27  2 2 0
25.09  16  4 2 0
29.23  100  3 3 3
31.89  41  4 4 0
33.40  58  5 3 1
33.88  16  6 0 0
37.59  26  6 2 2
48.67  22  6 6 0
52.52  16  9 1 1
56.83  24  8 4 4

Structure:
```
data_RbTl10Sn3
_space_group_name_H-M_alt 'F m -3 m'
_space_group_IT_number 225
_space_group_name_Hall '-F 4 2 3'
_cell_length_a 15.8735
_cell_length_b 15.8735
_cell_length_c 15.8735
_cell_angle_alpha 90.00
_cell_angle_beta 90.00
_cell_angle_gamma 90.00
loop_
_atom_site_label
_atom_site_type_symbol
_atom_site_fract_x
_atom_site_fract_y
_atom_site_fract_z
_atom_site_occupancy
Rb1 Rb 0.2500 0.2500 0.2500 1
Tl1 Tl 0.0000 0.1790 0.1790 1
Tl2 Tl 0.1161 0.1161 0.3839 1
Sn1 Sn 0.0000 0.0000 0.2606 1
```

# 10
Computed XRD peak list
Compound: Y2Ga4Cu3Pd
Radiation: Cu Kα (λ = 1.5418 Å)
Structure: a DFT-relaxed cell (PBE, Alexandria)
Neutral-atom scattering factors, no anomalous dispersion.

Principal peaks in the range 2θ = 10–90°, low angle first:
2θ (°)  I/Imax  hkl
33.91  46  1 0 3
35.28  100  1 1 2
43.78  58  2 0 0
46.99  27  1 1 4
49.38  24  1 0 5
56.50  20  2 1 3
63.63  18  2 2 0
68.10  18  2 1 5
74.91  21  3 1 2
89.63  13  2 0 8

Structure:
```
data_Y2Ga4Cu3Pd
_space_group_name_H-M_alt 'P -4 m 2'
_space_group_IT_number 115
_cell_length_a 4.1359
_cell_length_b 4.1359
_cell_length_c 10.3108
_cell_angle_alpha 90.00
_cell_angle_beta 90.00
_cell_angle_gamma 90.00
loop_
_space_group_symop_operation_xyz
'x,y,z'
'y,-x,-z'
'-x,-y,z'
'-y,x,-z'
'-x,y,z'
'-y,-x,-z'
'x,-y,z'
'y,x,-z'
loop_
_atom_site_label
_atom_site_type_symbol
_atom_site_fract_x
_atom_site_fract_y
_atom_site_fract_z
_atom_site_occupancy
Y1 Y 0.0000 0.5000 0.2465 1
Ga1 Ga 0.0000 0.0000 0.0000 1
Ga2 Ga 0.0000 0.5000 0.6359 1
Ga3 Ga 0.5000 0.5000 0.0000 1
Cu1 Cu 0.0000 0.5000 0.8668 1
Cu2 Cu 0.5000 0.5000 0.5000 1
Pd1 Pd 0.0000 0.0000 0.5000 1
```

# 11
Computed XRD peak list
Compound: RbTcI5
Radiation: Cu Kα (λ = 1.5418 Å)
Structure: a DFT-relaxed cell (PBE, Alexandria)
Neutral-atom scattering factors, no anomalous dispersion.

Principal peaks in the range 2θ = 10–90°, low angle first:
2θ (°)  I/Imax  hkl
11.78  94  1 1 0
12.03  88  2 0 0
23.69  40  2 2 0
24.34  43  4 0 -2
25.11  64  2 0 2
27.01  29  2 2 -2
27.45  51  1 1 -3
31.80  100  4 2 0
43.41  30  3 3 2
49.57  33  8 0 0

Structure:
```
data_RbTcI5
_space_group_name_H-M_alt 'C 1 2/c 1'
_space_group_IT_number 15
_cell_length_a 15.7979
_cell_length_b 8.7373
_cell_length_c 10.6163
_cell_angle_alpha 90.00
_cell_angle_beta 111.33
_cell_angle_gamma 90.00
loop_
_space_group_symop_operation_xyz
'x,y,z'
'-x,-y,-z'
'-x,y,-z+1/2'
'x,-y,z+1/2'
'x+1/2,y+1/2,z'
'-x+1/2,-y+1/2,-z'
'-x+1/2,y+1/2,-z+1/2'
'x+1/2,-y+1/2,z+1/2'
loop_
_atom_site_label
_atom_site_type_symbol
_atom_site_fract_x
_atom_site_fract_y
_atom_site_fract_z
_atom_site_occupancy
Rb1 Rb 0.0000 0.0247 0.2500 1
Tc1 Tc 0.0000 0.5000 0.0000 1
I1 I 0.0000 0.3940 0.7500 1
I2 I 0.1311 0.2868 0.5255 1
I3 I 0.1324 0.2885 0.1170 1
```